# 1
Starting from the GGA-PBE geometry in Alexandria, the powder diffractogram of CaAc5Ir4 was computed for Cu Ka.
Kinematic intensities with the Lorentz-polarization factor, no thermal factor.

Largest 10 diffraction maxima, in order of rising 2θ, 10 to 90 degrees two-theta:
- 2θ = 16.6°, I = 24
- 2θ = 20.0°, I = 12
- 2θ = 29.5°, I = 100
- 2θ = 30.0°, I = 49
- 2θ = 41.4°, I = 21
- 2θ = 41.9°, I = 39
- 2θ = 43.0°, I = 16
- 2θ = 43.2°, I = 34
- 2θ = 51.9°, I = 22
- 2θ = 70.5°, I = 13

a b c (Å): 18.5585 4.3642 8.4272
angles (deg): 90.00 105.36 90.00
Space group C2/m (No. 12)
Inequivalent atoms, fractional coordinates:
Ca 0.0000 0.0000 0.0000 (multiplicity 2)
Ac 0.0000 0.0000 0.5000 (multiplicity 2)
Ac 0.1612 0.5000 0.3306 (multiplicity 4)
Ac 0.1637 0.5000 0.8588 (multiplicity 4)
Ir 0.9999 0.5000 0.2587 (multiplicity 4)
Ir 0.1745 0.0000 0.1132 (multiplicity 4)

# 2
Starting from the GGA-PBE geometry in Alexandria, the powder diffractogram of CaAc4Ir3 was computed for Cu Ka.
Kinematic intensities with the Lorentz-polarization factor, no thermal factor.

Largest 10 diffraction maxima, in order of rising 2θ, 10 to 90 degrees two-theta:
- 2θ = 13.3°, I = 82
- 2θ = 23.3°, I = 33
- 2θ = 27.0°, I = 90
- 2θ = 27.5°, I = 90
- 2θ = 27.7°, I = 90
- 2θ = 35.3°, I = 81
- 2θ = 35.6°, I = 72
- 2θ = 35.9°, I = 71
- 2θ = 42.0°, I = 100
- 2θ = 43.2°, I = 45

a b c (Å): 14.4225 7.5196 10.9144
angles (deg): 90.00 113.01 90.00
Space group Cc (No. 9)
Inequivalent atoms, fractional coordinates:
Ca 0.0000 0.1718 0.0000 (multiplicity 4)
Ac 0.1030 0.3351 0.6971 (multiplicity 4)
Ac 0.1943 0.1754 0.4013 (multiplicity 4)
Ac 0.2883 0.3360 0.1122 (multiplicity 4)
Ac 0.3906 0.1720 0.8038 (multiplicity 4)
Ir 0.0867 0.4998 0.4378 (multiplicity 4)
Ir 0.1965 0.9999 0.1528 (multiplicity 4)
Ir 0.3034 0.4968 0.8688 (multiplicity 4)

# 3
Starting from the GGA-PBE geometry in Alexandria, the powder diffractogram of CaAcIrN2 was computed for Cu Ka.
Kinematic intensities with the Lorentz-polarization factor, no thermal factor.

Largest 10 diffraction maxima, in order of rising 2θ, 10 to 90 degrees two-theta:
- 2θ = 18.0°, I = 80
- 2θ = 29.4°, I = 50
- 2θ = 30.9°, I = 30
- 2θ = 34.7°, I = 100
- 2θ = 36.0°, I = 30
- 2θ = 36.5°, I = 19
- 2θ = 47.5°, I = 28
- 2θ = 48.5°, I = 22
- 2θ = 57.4°, I = 24
- 2θ = 64.5°, I = 29

a b c (Å): 4.9282 5.7825 7.1476
angles (deg): 90.00 90.00 90.00
Space group Pccm (No. 49)
Inequivalent atoms, fractional coordinates:
Ca 0.0000 0.0000 0.2500 (multiplicity 2)
Ac 0.5000 0.5000 0.2500 (multiplicity 2)
Ir 0.5000 0.0000 0.0000 (multiplicity 2)
N 0.2453 0.2554 0.0000 (multiplicity 4)

# 4
Starting from the GGA-PBE geometry in Alexandria, the powder diffractogram of CaAcZn2Ir2 was computed for Cu Ka.
Kinematic intensities with the Lorentz-polarization factor, no thermal factor.

Largest 10 diffraction maxima, in order of rising 2θ, 10 to 90 degrees two-theta:
- 2θ = 11.0°, I = 13
- 2θ = 26.1°, I = 52
- 2θ = 32.5°, I = 100
- 2θ = 41.3°, I = 13
- 2θ = 41.4°, I = 59
- 2θ = 45.1°, I = 14
- 2θ = 53.6°, I = 24
- 2θ = 62.8°, I = 39
- 2θ = 69.9°, I = 22
- 2θ = 75.5°, I = 15

a b c (Å): 4.3606 4.3606 8.0441
angles (deg): 90.00 90.00 120.00
Space group P-3m1 (No. 164)
Inequivalent atoms, fractional coordinates:
Ca 0.0000 0.0000 0.0000 (multiplicity 1)
Ac 0.0000 0.0000 0.5000 (multiplicity 1)
Zn 0.3333 0.6667 0.7818 (multiplicity 2)
Ir 0.3333 0.6667 0.2452 (multiplicity 2)

# 5
Starting from the GGA-PBE geometry in Alexandria, the powder diffractogram of KCaAc2O5 was computed for Cu Ka.
Kinematic intensities with the Lorentz-polarization factor, no thermal factor.

Largest 10 diffraction maxima, in order of rising 2θ, 10 to 90 degrees two-theta:
- 2θ = 13.8°, I = 100
- 2θ = 27.8°, I = 32
- 2θ = 28.3°, I = 54
- 2θ = 28.4°, I = 86
- 2θ = 34.7°, I = 81
- 2θ = 41.9°, I = 20
- 2θ = 45.1°, I = 41
- 2θ = 52.6°, I = 30
- 2θ = 56.7°, I = 23
- 2θ = 64.3°, I = 16

a b c (Å): 7.2413 7.2413 12.8323
angles (deg): 90.00 90.00 90.00
Space group I4/mcm (No. 140)
Inequivalent atoms, fractional coordinates:
K 0.0000 0.0000 0.2500 (multiplicity 4)
Ca 0.0000 0.5000 0.2500 (multiplicity 4)
Ac 0.1721 0.3279 0.0000 (multiplicity 8)
O 0.0000 0.0000 0.0000 (multiplicity 4)
O 0.1447 0.3553 0.3796 (multiplicity 16)

# 6
Starting from the GGA-PBE geometry in Alexandria, the powder diffractogram of CaAc3La8 was computed for Cu Ka.
Kinematic intensities with the Lorentz-polarization factor, no thermal factor.

Largest 10 diffraction maxima, in order of rising 2θ, 10 to 90 degrees two-theta:
- 2θ = 10.3°, I = 23
- 2θ = 21.1°, I = 33
- 2θ = 25.3°, I = 23
- 2θ = 28.9°, I = 25
- 2θ = 29.5°, I = 100
- 2θ = 29.9°, I = 50
- 2θ = 30.2°, I = 23
- 2θ = 30.5°, I = 48
- 2θ = 33.8°, I = 25
- 2θ = 48.6°, I = 24

a b c (Å): 6.7364 11.9480 12.3589
angles (deg): 90.00 90.00 90.00
Space group Immm (No. 71)
Inequivalent atoms, fractional coordinates:
Ca 0.0000 0.0000 0.0000 (multiplicity 2)
Ac 0.0000 0.2365 0.5000 (multiplicity 4)
Ac 0.0000 0.5000 0.0000 (multiplicity 2)
La 0.0000 0.2527 0.1841 (multiplicity 8)
La 0.2339 0.0000 0.2606 (multiplicity 8)

# 7
Starting from the GGA-PBE geometry in Alexandria, the powder diffractogram of CaAc5La8 was computed for Cu Ka.
Kinematic intensities with the Lorentz-polarization factor, no thermal factor.

Largest 10 diffraction maxima, in order of rising 2θ, 10 to 90 degrees two-theta:
- 2θ = 20.9°, I = 17
- 2θ = 26.2°, I = 37
- 2θ = 27.1°, I = 58
- 2θ = 27.3°, I = 68
- 2θ = 29.5°, I = 24
- 2θ = 31.4°, I = 100
- 2θ = 32.0°, I = 27
- 2θ = 32.3°, I = 42
- 2θ = 50.9°, I = 29
- 2θ = 58.4°, I = 20

a b c (Å): 10.3433 10.3433 10.8260
angles (deg): 90.00 90.00 90.00
Space group I-4 (No. 82)
Inequivalent atoms, fractional coordinates:
Ca 0.0000 0.0000 0.0000 (multiplicity 2)
Ac 0.0000 0.5000 0.7500 (multiplicity 2)
Ac 0.1106 0.7112 0.3297 (multiplicity 8)
La 0.0706 0.8305 0.6531 (multiplicity 8)
La 0.0848 0.6792 0.9977 (multiplicity 8)

# 8
Starting from the GGA-PBE geometry in Alexandria, the powder diffractogram of CaAc3La6 was computed for Cu Ka.
Kinematic intensities with the Lorentz-polarization factor, no thermal factor.

Largest 10 diffraction maxima, in order of rising 2θ, 10 to 90 degrees two-theta:
- 2θ = 28.1°, I = 60
- 2θ = 28.4°, I = 46
- 2θ = 28.5°, I = 80
- 2θ = 29.1°, I = 100
- 2θ = 31.8°, I = 81
- 2θ = 33.5°, I = 32
- 2θ = 33.8°, I = 34
- 2θ = 47.0°, I = 24
- 2θ = 47.7°, I = 29
- 2θ = 55.8°, I = 29

a b c (Å): 3.8693 6.5911 31.2820
angles (deg): 90.00 90.06 90.00
Space group P2_1/c (No. 14)
Inequivalent atoms, fractional coordinates:
Ca 0.0000 0.0000 0.0000 (multiplicity 2)
Ac 0.4988 0.1768 0.7989 (multiplicity 4)
Ac 0.5000 0.0000 0.5000 (multiplicity 2)
La 0.0006 0.1504 0.3984 (multiplicity 4)
La 0.0010 0.1694 0.6940 (multiplicity 4)
La 0.4996 0.1596 0.1015 (multiplicity 4)

# 9
Starting from the GGA-PBE geometry in Alexandria, the powder diffractogram of CaAcLa was computed for Cu Ka.
Kinematic intensities with the Lorentz-polarization factor, no thermal factor.

Largest 10 diffraction maxima, in order of rising 2θ, 10 to 90 degrees two-theta:
- 2θ = 15.2°, I = 9
- 2θ = 17.9°, I = 16
- 2θ = 28.2°, I = 100
- 2θ = 32.5°, I = 34
- 2θ = 32.8°, I = 17
- 2θ = 46.7°, I = 12
- 2θ = 46.9°, I = 25
- 2θ = 55.4°, I = 29
- 2θ = 55.7°, I = 15
- 2θ = 75.6°, I = 12

a b c (Å): 3.8879 5.4621 11.6871
angles (deg): 90.00 90.02 90.00
Space group P2_1/m (No. 11)
Inequivalent atoms, fractional coordinates:
Ca 0.2494 0.2500 0.0846 (multiplicity 2)
Ac 0.2509 0.2500 0.7409 (multiplicity 2)
La 0.2494 0.2500 0.4234 (multiplicity 2)

# 10
Starting from the GGA-PBE geometry in Alexandria, the powder diffractogram of CaAc6La8 was computed for Cu Ka.
Kinematic intensities with the Lorentz-polarization factor, no thermal factor.

Largest 10 diffraction maxima, in order of rising 2θ, 10 to 90 degrees two-theta:
- 2θ = 12.9°, I = 21
- 2θ = 21.6°, I = 33
- 2θ = 27.9°, I = 33
- 2θ = 28.0°, I = 100
- 2θ = 29.4°, I = 96
- 2θ = 30.9°, I = 26
- 2θ = 32.3°, I = 34
- 2θ = 32.7°, I = 25
- 2θ = 33.9°, I = 34
- 2θ = 45.7°, I = 27

a b c (Å): 9.3586 9.3586 26.0497
angles (deg): 90.00 90.00 120.00
Space group R-3 (No. 148, hexagonal axes)
Inequivalent atoms, fractional coordinates:
Ca 0.0000 0.0000 0.0000 (multiplicity 3)
Ac 0.0318 0.7611 0.6177 (multiplicity 18)
La 0.0000 0.0000 0.2811 (multiplicity 6)
La 0.0142 0.2387 0.1893 (multiplicity 18)

# 11
Starting from the GGA-PBE geometry in Alexandria, the powder diffractogram of CaAc6La3 was computed for Cu Ka.
Kinematic intensities with the Lorentz-polarization factor, no thermal factor.

Largest 10 diffraction maxima, in order of rising 2θ, 10 to 90 degrees two-theta:
- 2θ = 16.2°, I = 22
- 2θ = 24.4°, I = 61
- 2θ = 26.8°, I = 76
- 2θ = 28.6°, I = 100
- 2θ = 29.0°, I = 48
- 2θ = 29.5°, I = 73
- 2θ = 31.8°, I = 92
- 2θ = 34.2°, I = 32
- 2θ = 50.1°, I = 24
- 2θ = 57.8°, I = 23

a b c (Å): 12.8541 18.1310 7.5896
angles (deg): 90.00 90.00 90.00
Space group Cmc2_1 (No. 36)
Inequivalent atoms, fractional coordinates:
Ca 0.0000 0.1766 0.0000 (multiplicity 4)
Ac 0.0000 0.0126 0.2442 (multiplicity 4)
Ac 0.0000 0.3203 0.3312 (multiplicity 4)
Ac 0.1490 0.3394 0.7842 (multiplicity 8)
Ac 0.2459 0.4590 0.4130 (multiplicity 8)
La 0.0000 0.4874 0.0888 (multiplicity 4)
La 0.1359 0.1512 0.5563 (multiplicity 8)

# 12
Starting from the GGA-PBE geometry in Alexandria, the powder diffractogram of CaAcLa14 was computed for Cu Ka.
Kinematic intensities with the Lorentz-polarization factor, no thermal factor.

Largest 10 diffraction maxima, in order of rising 2θ, 10 to 90 degrees two-theta:
- 2θ = 27.1°, I = 23
- 2θ = 29.4°, I = 25
- 2θ = 30.9°, I = 100
- 2θ = 40.4°, I = 16
- 2θ = 47.8°, I = 13
- 2θ = 53.0°, I = 22
- 2θ = 57.1°, I = 15
- 2θ = 57.2°, I = 8
- 2θ = 58.1°, I = 11
- 2θ = 78.4°, I = 9

a b c (Å): 12.1676 7.5929 13.1915
angles (deg): 90.00 90.00 90.00
Space group Amm2 (No. 38)
Inequivalent atoms, fractional coordinates:
Ca 0.0000 0.0000 0.0000 (multiplicity 2)
Ac 0.0000 0.0000 0.4969 (multiplicity 2)
La 0.0000 0.2450 0.2509 (multiplicity 4)
La 0.2496 0.0000 0.8282 (multiplicity 4)
La 0.2515 0.0000 0.3310 (multiplicity 4)
La 0.2530 0.2464 0.5857 (multiplicity 8)
La 0.5000 0.0000 0.4976 (multiplicity 2)
La 0.5000 0.0000 0.9972 (multiplicity 2)
La 0.5000 0.2500 0.2505 (multiplicity 4)